Record 1
For Pu5Ru3, DFT lattice parameters and positions (PBE) gives the calculated powder diffraction line list in this record (Cu Kα (weighted mean of Kα1 and Kα2)).

Most intense lines, 15° ≤ 2θ ≤ 90°, in order of rising 2θ:
2θ = 31.6°, intensity 25; 2θ = 33.8°, intensity 100; 2θ = 35.8°, intensity 43; 2θ = 37.2°, intensity 64; 2θ = 37.8°, intensity 78; 2θ = 39.6°, intensity 43; 2θ = 57.6°, intensity 21; 2θ = 60.4°, intensity 20; 2θ = 60.5°, intensity 23; 2θ = 60.9°, intensity 17

Structure:
a b c (Å): 8.1610 8.1610 8.1610
angles (deg): 96.93 96.93 139.35
Element x y z (fractional)
Pu 0.0880 0.7819 0.8699
Pu 0.2181 0.0880 0.3060
Pu 0.2500 0.7500 0.5000
Pu 0.2819 0.5880 0.8699
Pu 0.4120 0.2819 0.6940
Pu 0.5880 0.7181 0.3060
Pu 0.7181 0.4120 0.1301
Pu 0.7500 0.2500 0.5000
Pu 0.7819 0.9120 0.6940
Pu 0.9120 0.2181 0.1301
Ru 0.1472 0.3528 0.5000
Ru 0.2500 0.2500 0.0000
Ru 0.3528 0.8528 0.2056
Ru 0.6472 0.1472 0.7944
Ru 0.7500 0.7500 0.0000
Ru 0.8528 0.6472 0.5000


Record 2
For PuRu, DFT lattice parameters and positions (PBE) gives the calculated powder diffraction line list in this record (Cu Kα (weighted mean of Kα1 and Kα2)).

Most intense lines, 15° ≤ 2θ ≤ 90°, in order of rising 2θ:
2θ = 27.3°, intensity 18; 2θ = 38.9°, intensity 100; 2θ = 48.2°, intensity 6; 2θ = 56.2°, intensity 17; 2θ = 63.6°, intensity 8; 2θ = 70.5°, intensity 36; 2θ = 83.6°, intensity 11; 2θ = 90.0°, intensity 4

Structure:
a b c (Å): 3.2720 3.2720 3.2720
angles (deg): 90.00 90.00 90.00
Element x y z (fractional)
Pu 0.0000 0.0000 0.0000
Ru 0.5000 0.5000 0.5000